SrTbV2O8: calculated X-ray powder pattern (Cu Kα (weighted mean of Kα1 and Kα2)), based on the PBE+U geometry in Alexandria.
Peak positions follow from Bragg's law for the DFT cell and can differ from measured ones.

Structural model:
Cell lengths 5.7699, 5.7699, 7.2532 Å; angles 90.00, 90.00, 120.00 degrees
Space group P-3 (No. 147)
One atom of each set of equivalent atoms:
Sr  0.0000  0.0000  0.0000 x1
Tb  0.0000  0.0000  0.5000 x1
V  0.3333  0.6667  0.7882 x2
O  0.1652  0.3325  0.7125 x6
O  0.3333  0.6667  0.0206 x2

Top 6 peaks for 2θ from 5° to 70°, low angle first:
- 17.75 deg, 4.997 Å, rel. 100, (1 0 0)
- 21.60 deg, 4.115 Å, rel. 80, (0 1 1)
- 30.46 deg, 2.935 Å, rel. 96, (1 0 2)
- 31.00 deg, 2.885 Å, rel. 83, (1 1 0)
- 44.01 deg, 2.057 Å, rel. 54, (0 2 2)
- 54.80 deg, 1.675 Å, rel. 38, (2 1 2)